[1]
Simulated PXRD pattern
Compound: Pm5NiPd4
Radiation: a wavelength of 1.5418 Å
Structure: a DFT-relaxed cell (PBE, Alexandria)
Lines closer than 0.1° are merged.

Atomic structure:
a = 3.5418 Å, b = 3.5418 Å, c = 18.2387 Å
α = 90.00°, β = 90.00°, γ = 90.00°
Fractional coordinates of all 10 atoms:
Pm 0.0000 0.0000 0.0000
Pm 0.0000 0.0000 0.2032
Pm 0.0000 0.0000 0.4065
Pm 0.0000 0.0000 0.5935
Pm 0.0000 0.0000 0.7968
Ni 0.5000 0.5000 0.5000
Pd 0.5000 0.5000 0.1016
Pd 0.5000 0.5000 0.3032
Pd 0.5000 0.5000 0.6968
Pd 0.5000 0.5000 0.8984

Largest 8 diffraction maxima, sorted by position, 10° ≤ 2θ ≤ 90°:
- 35.32 deg, rel. 100, (1 0 5)
- 35.86 deg, rel. 49, (1 1 0)
- 50.01 deg, rel. 9, (0 0 10)
- 51.61 deg, rel. 17, (2 0 0)
- 63.05 deg, rel. 17, (1 1 10)
- 64.09 deg, rel. 35, (2 1 5)
- 74.71 deg, rel. 11, (2 0 10)
- 86.99 deg, rel. 8, (3 1 0)



[2]
Simulated PXRD pattern
Compound: Er5ThIn3
Radiation: a wavelength of 1.5418 Å
Structure: a DFT-relaxed cell (PBE, Alexandria)
Lines closer than 0.1° are merged.

Atomic structure:
a = 9.3300 Å, b = 9.3300 Å, c = 6.6580 Å
α = 90.00°, β = 90.00°, γ = 120.00°
Fractional coordinates of all 18 atoms:
Er 0.0000 0.3269 0.2500
Er 0.0000 0.6731 0.7500
Er 0.3269 0.0000 0.2500
Er 0.3269 0.3269 0.7500
Er 0.3333 0.6667 0.0000
Er 0.3333 0.6667 0.5000
Er 0.6667 0.3333 0.0000
Er 0.6667 0.3333 0.5000
Er 0.6731 0.0000 0.7500
Er 0.6731 0.6731 0.2500
Th 0.0000 0.0000 0.0000
Th 0.0000 0.0000 0.5000
In 0.0000 0.3437 0.7500
In 0.0000 0.6563 0.2500
In 0.3437 0.0000 0.7500
In 0.3437 0.3437 0.2500
In 0.6563 0.0000 0.2500
In 0.6563 0.6563 0.7500

Largest 8 diffraction maxima, sorted by position, 10° ≤ 2θ ≤ 90°:
- 33.06 deg, rel. 100, (1 1 2)
- 33.27 deg, rel. 100, (3 0 0)
- 47.60 deg, rel. 36, (2 2 2)
- 59.31 deg, rel. 37, (4 1 2)
- 59.44 deg, rel. 19, (3 3 0)
- 65.98 deg, rel. 28, (3 0 4)
- 79.47 deg, rel. 16, (5 2 2)
- 85.45 deg, rel. 14, (3 3 4)



[3]
Simulated PXRD pattern
Compound: AcAs2PtRh5
Radiation: a wavelength of 1.5418 Å
Structure: a DFT-relaxed cell (PBE, Alexandria)
Lines closer than 0.1° are merged.

Atomic structure:
a = 4.0835 Å, b = 4.0835 Å, c = 10.7201 Å
α = 90.00°, β = 90.00°, γ = 90.00°
Fractional coordinates of all 9 atoms:
Ac 0.0000 0.0000 0.0000
As 0.5000 0.5000 0.2245
As 0.5000 0.5000 0.7755
Pt 0.0000 0.0000 0.5000
Rh 0.0000 0.5000 0.3436
Rh 0.0000 0.5000 0.6564
Rh 0.5000 0.0000 0.3436
Rh 0.5000 0.0000 0.6564
Rh 0.5000 0.5000 0.0000

Largest 8 diffraction maxima, sorted by position, 10° ≤ 2θ ≤ 90°:
- 24.92 deg, rel. 35, (0 0 3)
- 27.46 deg, rel. 95, (1 0 2)
- 32.10 deg, rel. 49, (1 1 1)
- 35.31 deg, rel. 69, (1 1 2)
- 44.37 deg, rel. 76, (2 0 0)
- 46.22 deg, rel. 100, (1 1 4)
- 52.97 deg, rel. 32, (2 1 2)
- 83.01 deg, rel. 37, (3 1 4)



[4]
Simulated PXRD pattern
Compound: UMnTlS3
Radiation: a wavelength of 1.5418 Å
Structure: a DFT-relaxed cell (PBE, Alexandria)
Lines closer than 0.1° are merged.

Atomic structure:
a = 8.8342 Å, b = 3.9449 Å, c = 9.2229 Å
α = 90.00°, β = 107.83°, γ = 90.00°
Fractional coordinates of all 12 atoms:
U 0.1718 0.2500 0.1540
U 0.8282 0.7500 0.8460
Mn 0.4251 0.7500 0.4008
Mn 0.5749 0.2500 0.5992
Tl 0.3032 0.7500 0.7656
Tl 0.6968 0.2500 0.2344
S 0.0416 0.2500 0.8448
S 0.3079 0.2500 0.4566
S 0.3751 0.7500 0.1347
S 0.6249 0.2500 0.8653
S 0.6921 0.7500 0.5434
S 0.9584 0.7500 0.1552

Largest 8 diffraction maxima, sorted by position, 10° ≤ 2θ ≤ 90°:
- 10.07 deg, rel. 37, (0 0 1)
- 20.23 deg, rel. 41, (0 0 2)
- 24.42 deg, rel. 64, (2 0 -2)
- 24.74 deg, rel. 79, (0 1 1)
- 30.51 deg, rel. 55, (0 0 3)
- 30.61 deg, rel. 100, (2 1 -1)
- 31.09 deg, rel. 72, (2 1 0)
- 40.96 deg, rel. 50, (4 0 -1)



Copy entry 1 word for word.
Simulated PXRD pattern
Compound: Pm5NiPd4
Radiation: a wavelength of 1.5418 Å
Structure: a DFT-relaxed cell (PBE, Alexandria)
Lines closer than 0.1° are merged.

Atomic structure:
a = 3.5418 Å, b = 3.5418 Å, c = 18.2387 Å
α = 90.00°, β = 90.00°, γ = 90.00°
Fractional coordinates of all 10 atoms:
Pm 0.0000 0.0000 0.0000
Pm 0.0000 0.0000 0.2032
Pm 0.0000 0.0000 0.4065
Pm 0.0000 0.0000 0.5935
Pm 0.0000 0.0000 0.7968
Ni 0.5000 0.5000 0.5000
Pd 0.5000 0.5000 0.1016
Pd 0.5000 0.5000 0.3032
Pd 0.5000 0.5000 0.6968
Pd 0.5000 0.5000 0.8984

Largest 8 diffraction maxima, sorted by position, 10° ≤ 2θ ≤ 90°:
- 35.32 deg, rel. 100, (1 0 5)
- 35.86 deg, rel. 49, (1 1 0)
- 50.01 deg, rel. 9, (0 0 10)
- 51.61 deg, rel. 17, (2 0 0)
- 63.05 deg, rel. 17, (1 1 10)
- 64.09 deg, rel. 35, (2 1 5)
- 74.71 deg, rel. 11, (2 0 10)
- 86.99 deg, rel. 8, (3 1 0)